(1)
Starting from a cell relaxed with GGA-PBE, the powder diffraction line list of ErTmBPb was computed for Cu Kα X-rays.

Lattice parameters (Å, degrees): 3.6513 3.6513 16.5073 90.00 90.00 120.00
Space group P-3m1 (No. 164)
Inequivalent atoms, fractional coordinates:
1 Er 0.3333 0.6667 0.0893
2 Tm 0.3333 0.6667 0.4120
3 B 0.0000 0.0000 0.0000
4 B 0.0000 0.0000 0.5000
5 Pb 0.3333 0.6667 0.7491

Peak list (8 most intense, 10° ≤ 2θ ≤ 90°, by angle)
2θ (°)	d/Å	intensity
28.2	3.162	23
32.5	2.751	21
32.7	2.742	100
43.6	2.076	16
50.0	1.826	21
58.1	1.587	19
60.9	1.520	39
82.6	1.168	15

=====

(2)
Starting from a cell relaxed with GGA-PBE, the powder diffraction line list of ErB4Pt was computed for Cu Kα X-rays.

Lattice parameters (Å, degrees): 3.2384 3.2384 6.7945 90.00 90.00 120.00
Space group P6/mmm (No. 191)
Inequivalent atoms, fractional coordinates:
1 Er 0.0000 0.0000 0.0000
2 B 0.3333 0.6667 0.2676
3 Pt 0.0000 0.0000 0.5000

Peak list (8 most intense, 10° ≤ 2θ ≤ 90°, by angle)
2θ (°)	d/Å	intensity
26.2	3.397	42
31.9	2.805	87
41.8	2.163	100
56.9	1.619	22
63.7	1.462	23
64.1	1.453	25
73.0	1.296	19
82.3	1.172	15

=====

(3)
Starting from a cell relaxed with GGA-PBE, the powder diffraction line list of Er3ReB7 was computed for Cu Kα X-rays.

Lattice parameters (Å, degrees): 3.508 15.638 9.284 90.00 90.00 90.00
Space group Cmcm (No. 63)
Inequivalent atoms, fractional coordinates:
1 Er 0.000 0.105 0.060
2 Er 0.000 0.243 0.750
3 Re 0.000 0.053 0.750
4 B 0.000 0.273 0.033
5 B 0.000 0.368 0.150
6 B 0.000 0.455 0.750
7 B 0.000 0.480 0.095

Peak list (8 most intense, 10° ≤ 2θ ≤ 90°, by angle)
2θ (°)	d/Å	intensity
26.0	3.423	100
29.9	2.990	70
31.1	2.877	64
34.4	2.606	31
39.2	2.296	77
39.8	2.264	58
61.3	1.513	32
64.0	1.454	26

=====

(4)
Starting from a cell relaxed with GGA-PBE, the powder diffraction line list of Er3TmSn2B2 was computed for Cu Kα X-rays.

Lattice parameters (Å, degrees): 3.6146 3.6146 16.3115 90.00 90.00 120.00
Space group P3m1 (No. 156)
Inequivalent atoms, fractional coordinates:
1 Er 0.0000 0.0000 0.0000
2 Er 0.0000 0.0000 0.3152
3 Er 0.6667 0.3333 0.8144
4 Tm 0.6667 0.3333 0.4996
5 Sn 0.0000 0.0000 0.6565
6 Sn 0.6667 0.3333 0.1575
7 B 0.3333 0.6667 0.4079
8 B 0.3333 0.6667 0.9072

Peak list (8 most intense, 10° ≤ 2θ ≤ 90°, by angle)
2θ (°)	d/Å	intensity
28.5	3.130	19
33.0	2.714	100
44.1	2.053	13
50.5	1.807	18
58.9	1.568	14
61.6	1.505	31
81.2	1.185	6
83.6	1.156	12

=====

(5)
Starting from a cell relaxed with GGA-PBE, the powder diffraction line list of SrErB4 was computed for Cu Kα X-rays.

Lattice parameters (Å, degrees): 3.3027 3.3027 8.1669 90.00 90.00 120.00
Space group P6/mmm (No. 191)
Inequivalent atoms, fractional coordinates:
1 Sr 0.0000 0.0000 0.0000
2 Er 0.0000 0.0000 0.5000
3 B 0.3333 0.6667 0.2728

Peak list (8 most intense, 10° ≤ 2θ ≤ 90°, by angle)
2θ (°)	d/Å	intensity
10.8	8.167	31
21.8	4.083	46
31.3	2.860	68
38.4	2.343	100
55.3	1.662	28
55.7	1.651	19
60.5	1.531	19
69.7	1.350	17

=====

(6)
Starting from a cell relaxed with GGA-PBE, the powder diffraction line list of TbErB3 was computed for Cu Kα X-rays.

Lattice parameters (Å, degrees): 5.899 3.251 7.478 90.00 91.67 90.00
Space group P2_1/m (No. 11)
Inequivalent atoms, fractional coordinates:
1 Tb 0.240 0.250 0.242
2 Er 0.259 0.250 0.745
3 B 0.079 0.750 0.499
4 B 0.420 0.750 0.499
5 B 0.451 0.750 0.996

Peak list (8 most intense, 10° ≤ 2θ ≤ 90°, by angle)
2θ (°)	d/Å	intensity
23.8	3.737	89
30.3	2.948	52
31.4	2.847	100
38.3	2.348	34
39.5	2.281	92
40.1	2.250	58
48.7	1.869	18
54.6	1.682	25

=====

Repeat the fifth record exactly.
Starting from a cell relaxed with GGA-PBE, the powder diffraction line list of SrErB4 was computed for Cu Kα X-rays.

Lattice parameters (Å, degrees): 3.3027 3.3027 8.1669 90.00 90.00 120.00
Space group P6/mmm (No. 191)
Inequivalent atoms, fractional coordinates:
1 Sr 0.0000 0.0000 0.0000
2 Er 0.0000 0.0000 0.5000
3 B 0.3333 0.6667 0.2728

Peak list (8 most intense, 10° ≤ 2θ ≤ 90°, by angle)
2θ (°)	d/Å	intensity
10.8	8.167	31
21.8	4.083	46
31.3	2.860	68
38.4	2.343	100
55.3	1.662	28
55.7	1.651	19
60.5	1.531	19
69.7	1.350	17

=====

Please write out number 5 again, unchanged.
Starting from a cell relaxed with GGA-PBE, the powder diffraction line list of SrErB4 was computed for Cu Kα X-rays.

Lattice parameters (Å, degrees): 3.3027 3.3027 8.1669 90.00 90.00 120.00
Space group P6/mmm (No. 191)
Inequivalent atoms, fractional coordinates:
1 Sr 0.0000 0.0000 0.0000
2 Er 0.0000 0.0000 0.5000
3 B 0.3333 0.6667 0.2728

Peak list (8 most intense, 10° ≤ 2θ ≤ 90°, by angle)
2θ (°)	d/Å	intensity
10.8	8.167	31
21.8	4.083	46
31.3	2.860	68
38.4	2.343	100
55.3	1.662	28
55.7	1.651	19
60.5	1.531	19
69.7	1.350	17